No. 1
Starting from DFT lattice parameters and positions (GGA-PBE), the powder XRD pattern of YScRh was calculated for Cu Kα X-rays.

The 10 most intense peaks (2θ from 5° to 70°), in order of rising 2θ:
29.1 deg, d = 3.065 Å, intensity 1000
31.3 deg, d = 2.857 Å, intensity 336
31.9 deg, d = 2.810 Å, intensity 604
33.2 deg, d = 2.700 Å, intensity 354
38.4 deg, d = 2.344 Å, intensity 458
38.8 deg, d = 2.319 Å, intensity 571
39.0 deg, d = 2.310 Å, intensity 539
43.8 deg, d = 2.067 Å, intensity 366
44.2 deg, d = 2.048 Å, intensity 407
60.4 deg, d = 1.533 Å, intensity 284

abc: 4.621 4.096 7.183
angles: 90.00 90.91 90.00
Fractional coordinates of all 6 atoms:
Y 0.240 0.250 0.366
Y 0.760 0.750 0.634
Sc 0.250 0.750 0.994
Sc 0.750 0.250 0.006
Rh 0.216 0.250 0.764
Rh 0.784 0.750 0.236

***

No. 2
Starting from DFT lattice parameters and positions (GGA-PBE), the powder XRD pattern of YSc4Rh2 was calculated for Cu Kα X-rays.

The 10 most intense peaks (2θ from 5° to 70°), in order of rising 2θ:
14.2 deg, d = 6.237 Å, intensity 334
26.1 deg, d = 3.411 Å, intensity 326
28.1 deg, d = 3.177 Å, intensity 291
30.3 deg, d = 2.954 Å, intensity 638
33.6 deg, d = 2.670 Å, intensity 376
36.3 deg, d = 2.477 Å, intensity 468
38.0 deg, d = 2.370 Å, intensity 348
38.7 deg, d = 2.325 Å, intensity 476
40.4 deg, d = 2.233 Å, intensity 1000
41.5 deg, d = 2.178 Å, intensity 311

abc: 7.394 5.907 7.612
angles: 90.00 112.54 90.00
Fractional coordinates of all 14 atoms:
Y 0.014 0.250 0.158
Y 0.986 0.750 0.842
Sc 0.242 0.000 0.590
Sc 0.242 0.500 0.590
Sc 0.343 0.750 0.257
Sc 0.390 0.250 0.014
Sc 0.610 0.750 0.986
Sc 0.657 0.250 0.743
Sc 0.758 0.000 0.410
Sc 0.758 0.500 0.410
Rh 0.010 0.250 0.732
Rh 0.421 0.250 0.372
Rh 0.579 0.750 0.628
Rh 0.990 0.750 0.268

***

No. 3
Starting from DFT lattice parameters and positions (GGA-PBE), the powder XRD pattern of YSc3Rh was calculated for Cu Kα X-rays.

The 10 most intense peaks (2θ from 5° to 70°), in order of rising 2θ:
14.2 deg, d = 6.242 Å, intensity 322
23.5 deg, d = 3.785 Å, intensity 465
25.8 deg, d = 3.455 Å, intensity 339
33.0 deg, d = 2.711 Å, intensity 792
33.9 deg, d = 2.642 Å, intensity 332
36.0 deg, d = 2.494 Å, intensity 1000
36.2 deg, d = 2.480 Å, intensity 561
42.7 deg, d = 2.116 Å, intensity 196
50.0 deg, d = 1.824 Å, intensity 421
63.3 deg, d = 1.469 Å, intensity 230

abc: 4.961 7.570 6.242
angles: 90.00 90.00 90.00
Fractional coordinates of all 10 atoms:
Y 0.250 0.250 0.205
Y 0.750 0.750 0.795
Sc 0.250 0.052 0.685
Sc 0.250 0.448 0.685
Sc 0.250 0.750 0.093
Sc 0.750 0.250 0.907
Sc 0.750 0.552 0.315
Sc 0.750 0.948 0.315
Rh 0.250 0.750 0.507
Rh 0.750 0.250 0.493